1.
Theoretical X-ray diffraction stick pattern of Na2RuO3 for Cu Kα (λ = 1.5418 Å), from a structure optimized by DFT (PBE).
Neutral-atom scattering factors, no anomalous dispersion.

Structure:
```
Na2RuO3
1.0
2.7482 -4.7442 0.0000
2.7482 4.7442 0.0000
-1.8619 0.0000 10.7186
Na Ru O
8 4 12
Cartesian
0.4431 2.3721 5.3593
1.3518 3.9196 8.0390
1.3056 0.7741 0.0216
0.3746 -0.7741 5.3809
1.3741 -2.3721 0.0000
3.2599 0.7741 5.3377
2.3289 -0.7741 10.6970
2.2827 -3.9196 2.6797
2.2827 2.4081 2.6797
1.3518 0.7611 8.0390
2.2827 -0.7611 2.6797
1.3518 -2.4081 8.0390
-0.4004 0.9352 6.9205
0.3540 2.1553 9.1424
0.5306 -0.9352 1.5612
1.5665 0.8269 3.7551
2.3496 2.1553 6.9355
0.6355 -0.8269 9.1144
2.9990 0.8269 1.6043
1.2849 -2.1553 3.7831
2.0680 -0.8269 6.9636
3.1039 0.9352 9.1574
3.2805 -2.1553 1.5762
4.0349 -0.9352 3.7981
```

Peak list (8 most intense, 2θ from 15° to 90°, low angle first)
2θ (°)  I (rel.)
16.5  74
18.9  17
33.1  24
33.4  17
34.6  29
39.8  100
56.8  20
58.2  19

---

2.
Theoretical X-ray diffraction stick pattern of Nd2FeCo17Si8 for Cu Kα (λ = 1.5418 Å), from a structure optimized by DFT (PBE).
Neutral-atom scattering factors, no anomalous dispersion.

Structure:
```
Nd2FeCo17Si8
1.0
0.0000 5.4882 5.7476
5.4738 0.0000 5.7476
5.4738 5.4882 0.0000
Nd Fe Co Si
2 1 17 8
Cartesian
2.7369 2.7441 2.8738
8.2107 8.2324 8.6215
0.0000 0.0000 0.0000
6.8849 5.4882 2.0673
8.9332 4.2311 5.7476
5.4738 4.0763 3.6755
6.7349 3.4585 5.7476
8.9332 6.7454 5.7476
4.0627 5.4882 2.0673
4.2128 3.4585 5.7476
5.4738 6.9002 3.6755
5.4738 5.4882 5.7476
5.4738 4.0763 7.8198
6.7349 7.5180 5.7476
6.8849 5.4882 9.4280
2.0144 4.2311 5.7476
4.2128 7.5180 5.7476
5.4738 6.9002 7.8198
2.0144 6.7454 5.7476
4.0627 5.4882 9.4280
5.4738 1.8606 4.3435
7.3298 5.4882 4.3491
5.4738 1.8606 7.1518
7.3298 5.4882 7.1462
3.6178 5.4882 4.3491
5.4738 9.1159 4.3435
3.6178 5.4882 7.1462
5.4738 9.1159 7.1518
```

Peak list (8 most intense, 2θ from 15° to 90°, low angle first)
2θ (°)  I (rel.)
35.3  22
36.3  22
36.7  17
39.0  24
40.0  100
47.5  40
48.6  34
49.1  20